Theoretical powder X-ray diffraction pattern
Compound: Sm5BS4
Radiation: Cu Kα X-rays
Structure: a crystal structure in Alexandria, relaxed with GGA-PBE
Lines closer than 0.1° are merged.

Atomic structure:
```
Sm5BS4
1.0
-4.4777 4.4777 2.8212
4.4777 -4.4777 2.8212
4.4777 4.4777 -2.8212
Sm B S
5 1 4
Direct
0.0000 0.0000 0.0000 Sm
0.2168 0.5936 0.8104 Sm
0.4064 0.2168 0.6231 Sm
0.5936 0.7832 0.3769 Sm
0.7832 0.4064 0.1896 Sm
0.5000 0.5000 0.0000 B
0.0968 0.3017 0.3985 S
0.3017 0.9032 0.2049 S
0.6983 0.0968 0.7951 S
0.9032 0.6983 0.6015 S
```

Principal peaks in the range 15° ≤ 2θ ≤ 90°, in order of rising 2θ:
Position (°2θ)  Rel. int.
27.31  1000
31.59  748
31.72  377
45.35  795
53.69  284
53.85  162
56.34  266
75.03  204
75.26  119
83.71  153